For NbTl2WO6, a cell relaxed with GGA+U gives the computed X-ray diffraction stick pattern in this record (Cu Kα, 1.54184 Å).
Peak positions follow from Bragg's law for the DFT cell and can differ from measured ones.

Structure:
Cell: 5.7418 5.8163 8.2231 Å, 90.00 90.00 90.00°
Space group Immm (No. 71)
One atom of each set of equivalent atoms:
Nb  0.0000  0.0000  0.0000 (multiplicity 2)
Tl  0.0000  0.5000  0.2489 (multiplicity 4)
W  0.0000  0.0000  0.5000 (multiplicity 2)
O  0.0000  0.0000  0.2471 (multiplicity 4)
O  0.2454  0.2495  0.5000 (multiplicity 8)

Most intense lines, 10 to 90 degrees two-theta, most intense first:
index, 2theta, I (rel.)
1 1 2, 30.9, 100
1 3 2, 54.7, 31
2 2 0, 44.3, 27
0 2 0, 30.7, 25
2 0 0, 31.2, 24
3 1 2, 55.2, 20
2 2 4, 64.3, 17
0 0 4, 44.0, 14
1 5 2, 89.1, 11
2 0 4, 54.9, 10